The following is a simulated powder XRD pattern of Ba6Na23Sr. It was derived from a GGA-PBE-relaxed structure, using CuKα.
No peak broadening, texture or thermal motion is included.

Atomic structure:
```
Ba6Na23Sr
1.0
0.0000 8.6758 8.6758
8.6758 0.0000 8.6758
8.6758 8.6758 0.0000
Ba Na Sr
6 23 1
Direct
0.2245 0.2245 0.7755
0.2245 0.7755 0.2245
0.2245 0.7755 0.7755
0.7755 0.2245 0.2245
0.7755 0.2245 0.7755
0.7755 0.7755 0.2245
0.0000 0.0000 0.5000
0.0000 0.5000 0.0000
0.0000 0.5000 0.5000
0.1363 0.6212 0.6212
0.1628 0.1628 0.1628
0.1628 0.1628 0.5116
0.1628 0.5116 0.1628
0.3788 0.3788 0.3788
0.3788 0.3788 0.8637
0.3788 0.8637 0.3788
0.4884 0.8372 0.8372
0.5000 0.0000 0.0000
0.5000 0.0000 0.5000
0.5000 0.5000 0.0000
0.5000 0.5000 0.5000
0.5116 0.1628 0.1628
0.6212 0.1363 0.6212
0.6212 0.6212 0.1363
0.6212 0.6212 0.6212
0.8372 0.4884 0.8372
0.8372 0.8372 0.4884
0.8372 0.8372 0.8372
0.8637 0.3788 0.3788
0.0000 0.0000 0.0000
```

Top 8 peaks for 2θ from 10° to 90°, by angle:
2θ (°), intensity
10.2, 26
17.7, 39
20.5, 38
22.9, 27
26.7, 44
29.1, 100
51.6, 23
54.7, 24

The following is a simulated powder XRD pattern of TlSb3. It was derived from a GGA-PBE-relaxed structure, using CuKα.
No peak broadening, texture or thermal motion is included.

Atomic structure:
```
TlSb3
1.0
6.5362 0.0000 0.0000
0.0000 11.1641 0.0000
0.0000 0.0000 3.1540
Tl Sb
2 6
Direct
0.0000 0.0000 0.0000
0.5000 0.5000 0.0000
0.0000 0.5000 0.0000
0.2500 0.2500 0.5000
0.2500 0.7500 0.5000
0.5000 0.0000 0.0000
0.7500 0.2500 0.5000
0.7500 0.7500 0.5000
```

Top 8 peaks for 2θ from 10° to 90°, by angle:
2θ (°), intensity
31.7, 100
32.1, 49
32.6, 97
39.7, 54
51.9, 50
57.0, 20
66.6, 23
68.1, 22

The following is a simulated powder XRD pattern of Ca2AgBiN. It was derived from a GGA-PBE-relaxed structure, using CuKα.
No peak broadening, texture or thermal motion is included.

Atomic structure:
```
Ca2AgBiN
1.0
4.8634 0.0000 0.0000
0.0000 4.8634 0.0000
0.0000 0.0000 4.6219
Ca Ag Bi N
2 1 1 1
Direct
0.0000 0.5000 0.0000
0.5000 0.0000 0.0000
0.0000 0.0000 0.5000
0.5000 0.5000 0.5000
0.0000 0.0000 0.0000
```

Top 8 peaks for 2θ from 10° to 90°, by angle:
2θ (°), intensity
19.2, 27
25.9, 35
32.5, 100
37.0, 40
39.0, 17
42.0, 16
54.8, 25
63.8, 28

The following is a simulated powder XRD pattern of Pr3PCl3. It was derived from a GGA-PBE-relaxed structure, using CuKα.
No peak broadening, texture or thermal motion is included.

Atomic structure:
```
Pr3PCl3
1.0
5.4567 -6.2969 0.0000
5.4567 6.2969 0.0000
-5.2891 0.0000 5.4585
Pr P Cl
6 2 6
Direct
0.9997 0.9997 0.2321
0.0003 0.0003 0.7679
0.3630 0.6367 0.2668
0.3633 0.6370 0.7332
0.6367 0.3630 0.2668
0.6370 0.3633 0.7332
0.2935 0.2935 0.2937
0.7065 0.7065 0.7063
0.1868 0.8132 0.5000
0.2004 0.7996 0.0000
0.3056 0.3056 0.8059
0.6944 0.6944 0.1941
0.7996 0.2004 0.0000
0.8132 0.1868 0.5000
```

Top 8 peaks for 2θ from 10° to 90°, by angle:
2θ (°), intensity
22.7, 66
23.4, 22
24.0, 50
32.8, 43
33.8, 100
40.7, 20
47.5, 29
68.8, 20

The following is a simulated powder XRD pattern of Ce4HfO10. It was derived from a GGA-PBE-relaxed structure, using CuKα.
No peak broadening, texture or thermal motion is included.

Atomic structure:
```
Ce4HfO10
1.0
1.9090 1.1021 15.4902
-1.9090 1.1021 15.4902
0.0000 -2.2043 15.4902
Ce Hf O
4 1 10
Direct
0.1033 0.1033 0.1033
0.2989 0.2989 0.2989
0.7011 0.7011 0.7011
0.8967 0.8967 0.8967
0.5000 0.5000 0.5000
0.0516 0.0516 0.0516
0.1535 0.1535 0.1535
0.2472 0.2472 0.2472
0.3505 0.3505 0.3505
0.4543 0.4543 0.4543
0.5457 0.5457 0.5457
0.6495 0.6495 0.6495
0.7528 0.7528 0.7528
0.8465 0.8465 0.8465
0.9484 0.9484 0.9484
```

Top 8 peaks for 2θ from 10° to 90°, by angle:
2θ (°), intensity
28.7, 100
28.8, 32
33.3, 40
47.6, 36
47.8, 33
56.6, 44
56.8, 13
77.0, 12

The following is a simulated powder XRD pattern of DyErSe2O. It was derived from a GGA-PBE-relaxed structure, using CuKα.
No peak broadening, texture or thermal motion is included.

Atomic structure:
```
DyErSe2O
1.0
3.9486 0.0000 0.0000
0.0000 3.9486 0.0000
0.0000 0.0000 14.4741
Dy Er Se O
2 2 4 2
Direct
0.2500 0.2500 0.0760
0.7500 0.7500 0.9240
0.2500 0.2500 0.6281
0.7500 0.7500 0.3719
0.2500 0.2500 0.4121
0.2500 0.2500 0.8083
0.7500 0.7500 0.1917
0.7500 0.7500 0.5879
0.2500 0.7500 0.0000
0.7500 0.2500 0.0000
```

Top 8 peaks for 2θ from 10° to 90°, by angle:
2θ (°), intensity
24.6, 26
25.7, 46
29.2, 32
32.1, 100
38.6, 46
40.8, 35
46.0, 42
76.3, 23

The following is a simulated powder XRD pattern of TcMoAu2. It was derived from a GGA-PBE-relaxed structure, using CuKα.
No peak broadening, texture or thermal motion is included.

Atomic structure:
```
TcMoAu2
1.0
3.1473 0.0000 0.0000
0.0000 4.5387 0.0000
0.0000 0.0000 9.4304
Tc Mo Au
2 2 4
Direct
0.0000 0.0000 0.0000
0.5000 0.5000 0.0000
0.0000 0.5000 0.7833
0.5000 0.0000 0.7833
0.0000 0.0000 0.5266
0.0000 0.5000 0.2575
0.5000 0.0000 0.2575
0.5000 0.5000 0.5266
```

Top 8 peaks for 2θ from 10° to 90°, by angle:
2θ (°), intensity
28.4, 8
36.0, 9
38.2, 21
39.7, 100
56.3, 13
70.1, 12
72.1, 20
85.7, 11

The following is a simulated powder XRD pattern of SrCd2SbRh2. It was derived from a GGA-PBE-relaxed structure, using CuKα.
No peak broadening, texture or thermal motion is included.

Atomic structure:
```
SrCd2SbRh2
1.0
4.9520 0.0000 0.0000
0.0000 4.9520 0.0000
0.0000 0.0000 6.2324
Sr Cd Sb Rh
1 2 1 2
Direct
0.0000 0.0000 0.0000
0.5000 0.5000 0.2465
0.5000 0.5000 0.7535
0.0000 0.0000 0.5000
0.0000 0.5000 0.5000
0.5000 0.0000 0.5000
```

Top 8 peaks for 2θ from 10° to 90°, by angle:
2θ (°), intensity
14.2, 63
25.4, 28
29.3, 26
34.0, 100
36.3, 92
50.6, 63
52.2, 31
71.5, 24

The following is a simulated powder XRD pattern of CdNiAs2. It was derived from a GGA-PBE-relaxed structure, using CuKα.
No peak broadening, texture or thermal motion is included.

Atomic structure:
```
CdNiAs2
1.0
4.6785 0.0000 0.0000
0.0000 3.8022 0.0000
-1.9078 0.0000 4.4043
Cd Ni As
1 1 2
Direct
0.0000 0.0000 0.0000
0.5000 0.0000 0.5000
0.3104 0.5000 0.6607
0.6896 0.5000 0.3393
```

Top 8 peaks for 2θ from 10° to 90°, by angle:
2θ (°), intensity
31.1, 27
32.6, 100
34.5, 65
47.7, 28
47.8, 25
48.7, 37
60.3, 24
63.1, 20

The following is a simulated powder XRD pattern of AcPmLu2. It was derived from a GGA-PBE-relaxed structure, using CuKα.
No peak broadening, texture or thermal motion is included.

Atomic structure:
```
AcPmLu2
1.0
5.2758 0.0000 0.0000
0.0000 5.2758 0.0000
0.0000 0.0000 4.8845
Ac Pm Lu
1 1 2
Direct
0.0000 0.0000 0.0000
0.5000 0.5000 0.0000
0.0000 0.5000 0.5000
0.5000 0.0000 0.5000
```

Top 8 peaks for 2θ from 10° to 90°, by angle:
2θ (°), intensity
30.1, 100
34.0, 37
36.8, 15
48.8, 13
51.0, 24
58.5, 31
62.2, 13
62.7, 13

The following is a simulated powder XRD pattern of K2InHg6. It was derived from a GGA-PBE-relaxed structure, using CuKα.
No peak broadening, texture or thermal motion is included.

Atomic structure:
```
K2InHg6
1.0
6.1857 -3.5801 0.0000
6.1857 3.5801 0.0000
-0.0172 0.0000 6.2543
K In Hg
2 1 6
Direct
0.1672 0.1672 0.3348
0.8328 0.8328 0.6652
0.5000 0.5000 0.5000
0.1317 0.6847 0.1694
0.3153 0.8683 0.8306
0.3166 0.3166 0.8311
0.6834 0.6834 0.1689
0.6847 0.1317 0.1694
0.8683 0.3153 0.8306
```

Top 8 peaks for 2θ from 10° to 90°, by angle:
2θ (°), intensity
14.2, 21
20.2, 35
28.8, 27
32.1, 21
32.3, 100
38.5, 20
41.0, 31
41.1, 16

The following is a simulated powder XRD pattern of CaSm2O4. It was derived from a GGA-PBE-relaxed structure, using CuKα.
No peak broadening, texture or thermal motion is included.

Atomic structure:
```
CaSm2O4
1.0
0.0000 4.9459 4.9459
4.9459 0.0000 4.9459
4.9459 4.9459 0.0000
Ca Sm O
2 4 8
Direct
0.1250 0.1250 0.1250
0.8750 0.8750 0.8750
0.0000 0.5000 0.5000
0.5000 0.0000 0.5000
0.5000 0.5000 0.0000
0.5000 0.5000 0.5000
0.2615 0.2615 0.2615
0.2615 0.2615 0.7156
0.2615 0.7156 0.2615
0.2844 0.7385 0.7385
0.7156 0.2615 0.2615
0.7385 0.2844 0.7385
0.7385 0.7385 0.2844
0.7385 0.7385 0.7385
```

Top 8 peaks for 2θ from 10° to 90°, by angle:
2θ (°), intensity
15.5, 81
30.0, 100
31.3, 51
36.3, 49
47.8, 40
52.3, 51
62.3, 25
73.5, 21

The following is a simulated powder XRD pattern of PmCo2PH. It was derived from a GGA-PBE-relaxed structure, using CuKα.
No peak broadening, texture or thermal motion is included.

Atomic structure:
```
PmCo2PH
1.0
1.8221 -5.1551 0.0000
1.8221 5.1551 0.0000
0.0000 0.0000 6.6458
Pm Co P H
2 4 2 2
Direct
0.0555 0.9445 0.7500
0.9445 0.0555 0.2500
0.3292 0.6708 0.5609
0.3292 0.6708 0.9391
0.6708 0.3292 0.0609
0.6708 0.3292 0.4391
0.2245 0.7755 0.2500
0.7755 0.2245 0.7500
0.5000 0.5000 0.0000
0.5000 0.5000 0.5000
```

Top 8 peaks for 2θ from 10° to 90°, by angle:
2θ (°), intensity
25.9, 25
32.0, 38
35.9, 54
37.4, 61
37.7, 100
38.5, 61
44.5, 35
50.1, 28

The following is a simulated powder XRD pattern of K5BeP2. It was derived from a GGA-PBE-relaxed structure, using CuKα.
No peak broadening, texture or thermal motion is included.

Atomic structure:
```
K5BeP2
1.0
2.7365 1.5799 13.0385
-2.7365 1.5799 13.0385
0.0000 -3.1599 13.0385
K Be P
5 1 2
Direct
0.0000 0.0000 0.0000
0.1398 0.1398 0.1398
0.2464 0.2464 0.2464
0.7536 0.7536 0.7536
0.8602 0.8602 0.8602
0.5000 0.5000 0.5000
0.4488 0.4488 0.4488
0.5512 0.5512 0.5512
```

Top 8 peaks for 2θ from 10° to 90°, by angle:
2θ (°), intensity
20.4, 19
20.8, 23
24.6, 60
26.2, 46
29.6, 46
32.7, 100
38.9, 18
41.6, 16